# Cr3B12Rh25
Simulated powder diffraction line list, a wavelength of 1.5418 Å. Input: a structure optimized by DFT (PBE).

Cell and atoms:
Cell lengths 4.8128, 7.5030, 12.9874 Å; angles 90.13, 90.09, 90.07 degrees
Space group P1 (No. 1)
Inequivalent atoms, fractional coordinates:
Cr1 0.0000 0.0000 0.0000
Cr2 0.0007 0.1813 0.8184
Cr3 0.0069 0.6875 0.3148
B1 0.2232 0.1875 0.4639
B2 0.2279 0.9031 0.1780
B3 0.2282 0.9719 0.6802
B4 0.2293 0.6898 0.9642
B5 0.2296 0.4028 0.6812
B6 0.2309 0.4738 0.1803
B7 0.7124 0.9081 0.3666
B8 0.7160 0.1869 0.0871
B9 0.7157 0.4069 0.8666
B10 0.7159 0.4633 0.3669
B11 0.7210 0.9648 0.8670
B12 0.7244 0.6859 0.5855
Rh1 0.0008 0.6891 0.1073
Rh2 0.3071 0.8804 0.8389
Rh3 0.3146 0.1860 0.1485
Rh4 0.3151 0.9994 0.3338
Rh5 0.3158 0.3751 0.3349
Rh6 0.3167 0.5007 0.8374
Rh7 0.3282 0.6880 0.6520
Rh8 0.4749 0.0019 0.5463
Rh9 0.4758 0.3716 0.5472
Rh10 0.4802 0.5020 0.0457
Rh11 0.4833 0.1846 0.9405
Rh12 0.4829 0.6865 0.4404
Rh13 0.4954 0.1873 0.7360
Rh14 0.4955 0.8788 0.0441
Rh15 0.4989 0.6897 0.2346
Rh16 0.8246 0.1852 0.3970
Rh17 0.8251 0.6928 0.9003
Rh18 0.8265 0.8792 0.7127
Rh19 0.8259 0.9986 0.2088
Rh20 0.8267 0.3800 0.2131
Rh21 0.8304 0.4950 0.7149
Rh22 0.9721 0.8668 0.4953
Rh23 0.9732 0.5066 0.4959
Rh24 0.9751 0.3530 0.9957
Rh25 0.9935 0.1872 0.6100

Main lines, most intense first (5 to 70 degrees two-theta):
2theta, d (Å), I/Imax
41.27, 2.188, 100
39.95, 2.256, 39
36.60, 2.455, 34
33.28, 2.692, 30
41.35, 2.183, 20
46.99, 1.934, 18